[1]
Computed X-ray diffraction stick pattern of PuSi2 for Cu Kα (λ = 1.5418 Å), from the GGA-PBE geometry in Alexandria.

Atomic structure:
```
PuSi2
1.0
-1.997 1.997 7.030
1.997 -1.997 7.030
1.997 1.997 -7.030
Pu Si
2 4
direct
0.375 0.625 0.750
0.625 0.375 0.250
0.042 0.792 0.250
0.208 0.958 0.250
0.792 0.042 0.750
0.958 0.208 0.750
```

Principal peaks in the range 10° ≤ 2θ ≤ 80°, in order of rising 2θ:
2θ 23.15, rel. 62
2θ 25.34, rel. 32
2θ 29.38, rel. 58
2θ 34.22, rel. 100
2θ 39.18, rel. 40
2θ 45.42, rel. 28
2θ 50.89, rel. 19
2θ 55.02, rel. 21
2θ 61.51, rel. 22
2θ 76.66, rel. 20


[2]
Computed X-ray diffraction stick pattern of Sm4PuSi4 for Cu Kα (λ = 1.5418 Å), from the GGA-PBE geometry in Alexandria.

Atomic structure:
```
Sm4PuSi4
1.0
8.909 0.000 0.000
0.000 8.909 0.000
0.000 0.000 5.915
Sm Pu Si
8 2 8
direct
0.045 0.675 0.113
0.175 0.955 0.613
0.325 0.545 0.613
0.455 0.825 0.113
0.545 0.175 0.887
0.675 0.455 0.387
0.825 0.045 0.387
0.955 0.325 0.887
0.250 0.250 0.250
0.750 0.750 0.750
0.011 0.620 0.604
0.120 0.989 0.104
0.380 0.511 0.104
0.489 0.880 0.604
0.511 0.120 0.396
0.620 0.489 0.896
0.880 0.011 0.896
0.989 0.380 0.396
```

Principal peaks in the range 10° ≤ 2θ ≤ 80°, in order of rising 2θ:
2θ 18.00, rel. 13
2θ 25.03, rel. 27
2θ 26.98, rel. 100
2θ 31.76, rel. 74
2θ 31.88, rel. 28
2θ 37.89, rel. 21
2θ 45.54, rel. 24
2θ 47.98, rel. 18
2θ 52.44, rel. 16
2θ 53.73, rel. 25


[3]
Computed X-ray diffraction stick pattern of Pu12Si5Sn for Cu Kα (λ = 1.5418 Å), from the GGA-PBE geometry in Alexandria.

Atomic structure:
```
Pu12Si5Sn
1.0
-4.580 4.706 4.904
4.580 -4.706 4.904
4.580 4.706 -4.904
Pu Si Sn
12 5 1
direct
0.035 0.241 0.794
0.186 0.264 0.450
0.186 0.736 0.922
0.317 0.036 0.720
0.317 0.597 0.280
0.447 0.241 0.206
0.553 0.759 0.794
0.683 0.403 0.720
0.683 0.964 0.280
0.814 0.264 0.078
0.814 0.736 0.550
0.965 0.759 0.206
0.000 0.000 0.000
0.120 0.620 0.500
0.374 0.000 0.374
0.626 0.000 0.626
0.880 0.380 0.500
0.500 0.500 0.000
```

Principal peaks in the range 10° ≤ 2θ ≤ 80°, in order of rising 2θ:
2θ 26.63, rel. 20
2θ 28.92, rel. 18
2θ 29.90, rel. 23
2θ 32.83, rel. 100
2θ 35.04, rel. 35
2θ 35.35, rel. 20
2θ 35.89, rel. 25
2θ 36.65, rel. 14
2θ 39.34, rel. 25
2θ 60.21, rel. 14


[4]
Computed X-ray diffraction stick pattern of PuSi4Tc4 for Cu Kα (λ = 1.5418 Å), from the GGA-PBE geometry in Alexandria.

Atomic structure:
```
PuSi4Tc4
1.0
8.046 0.000 0.000
0.000 8.046 0.000
0.000 0.000 4.692
Pu Si Tc
2 8 8
direct
0.250 0.250 0.250
0.750 0.750 0.750
0.053 0.905 0.165
0.095 0.553 0.665
0.405 0.947 0.665
0.447 0.595 0.165
0.553 0.405 0.835
0.595 0.053 0.335
0.905 0.447 0.335
0.947 0.095 0.835
0.120 0.870 0.659
0.130 0.620 0.159
0.370 0.880 0.159
0.380 0.630 0.659
0.620 0.370 0.341
0.630 0.120 0.841
0.870 0.380 0.841
0.880 0.130 0.341
```

Principal peaks in the range 10° ≤ 2θ ≤ 80°, in order of rising 2θ:
2θ 21.93, rel. 73
2θ 31.33, rel. 98
2θ 31.45, rel. 20
2θ 35.28, rel. 100
2θ 38.67, rel. 23
2θ 40.03, rel. 28
2θ 44.99, rel. 54
2θ 50.70, rel. 27
2θ 53.10, rel. 31
2θ 65.61, rel. 27


[5]
Computed X-ray diffraction stick pattern of PuSi2Tc3 for Cu Kα (λ = 1.5418 Å), from the GGA-PBE geometry in Alexandria.

Atomic structure:
```
PuSi2Tc3
1.0
9.323 0.000 0.000
-4.662 8.074 0.000
0.000 0.000 3.940
Pu Si Tc
3 6 9
direct
0.000 0.000 0.000
0.333 0.667 0.500
0.667 0.333 0.500
0.197 0.394 0.000
0.197 0.803 0.000
0.394 0.197 0.000
0.606 0.803 0.000
0.803 0.197 0.000
0.803 0.606 0.000
0.000 0.279 0.500
0.000 0.500 0.000
0.000 0.721 0.500
0.279 0.000 0.500
0.279 0.279 0.500
0.500 0.000 0.000
0.500 0.500 0.000
0.721 0.000 0.500
0.721 0.721 0.500
```

Principal peaks in the range 10° ≤ 2θ ≤ 80°, in order of rising 2θ:
2θ 19.04, rel. 18
2θ 31.73, rel. 100
2θ 33.29, rel. 52
2θ 37.27, rel. 57
2θ 38.63, rel. 30
2θ 40.59, rel. 45
2θ 46.08, rel. 25
2θ 54.76, rel. 17
2θ 58.02, rel. 22
2θ 65.61, rel. 25


[6]
Computed X-ray diffraction stick pattern of Pu2SiTc3 for Cu Kα (λ = 1.5418 Å), from the GGA-PBE geometry in Alexandria.

Atomic structure:
```
Pu2SiTc3
1.0
4.466 -2.634 0.000
4.466 2.634 0.000
-2.792 0.000 4.485
Pu Si Tc
2 1 3
direct
0.126 0.126 0.381
0.874 0.874 0.619
0.500 0.500 0.000
0.000 0.500 0.000
0.500 0.000 0.000
0.500 0.500 0.500
```

Principal peaks in the range 10° ≤ 2θ ≤ 80°, in order of rising 2θ:
2θ 20.53, rel. 46
2θ 32.81, rel. 62
2θ 34.03, rel. 80
2θ 34.63, rel. 100
2θ 38.34, rel. 45
2θ 39.28, rel. 47
2θ 39.54, rel. 52
2θ 39.68, rel. 90
2θ 40.46, rel. 46
2θ 40.85, rel. 49


Question: Which formula does entry 2 have?
Answer: Sm4PuSi4